RbErNiF6: computed powder XRD pattern (λ = 1.5418 Å (Cu Kα)), based on DFT lattice parameters and positions (PBE+U).
Peak positions follow from Bragg's law for the DFT cell and can differ from measured ones.

Crystal structure
```
data_RbErNiF6
_cell_length_a 7.6029
_cell_length_b 8.0327
_cell_length_c 10.8508
_cell_angle_alpha 90.00
_cell_angle_beta 90.00
_cell_angle_gamma 90.00
_symmetry_space_group_name_H-M 'I m m a'
_symmetry_Int_Tables_number 74
_symmetry_space_group_name_Hall '-I 2b 2'
loop_
_atom_site_label
_atom_site_type_symbol
_atom_site_fract_x
_atom_site_fract_y
_atom_site_fract_z
Rb1 Rb 0.0000 0.2500 0.0566
Er1 Er 0.0000 0.0000 0.5000
Ni1 Ni 0.2500 0.2500 0.7500
F1 F 0.0000 0.2500 0.4196
F2 F 0.0000 0.2500 0.7991
F3 F 0.2138 0.0704 0.6186
```

The 10 most intense peaks (2θ from 10° to 90°), low angle first:
2θ 13.72, I 20
2θ 14.22, I 42
2θ 16.34, I 36
2θ 26.41, I 100
2θ 27.26, I 31
2θ 27.63, I 23
2θ 28.67, I 56
2θ 35.42, I 26
2θ 43.02, I 21
2θ 46.96, I 24